For Na2Tl3WO6, a crystal structure in Alexandria, relaxed with PBE+U gives the calculated X-ray diffraction stick pattern in this record (λ = 1.5418 Å (Cu Kα)).
Intensities are scaled so that the largest is 100.

```
12
Lattice="3.007 -5.337 0.000 3.007 5.337 0.000 -1.766 0.000 5.968" Properties=species:S:1:pos:R:3 pbc="T T T"
Na 3.007 3.524 0.000
Na 3.007 -3.524 0.000
Tl -0.883 0.000 2.984
Tl 2.124 1.803 2.984
Tl 2.124 -1.803 2.984
W 3.007 0.000 0.000
O 0.358 1.398 4.913
O 1.453 0.000 1.264
O 0.358 -1.398 4.913
O 3.891 1.398 1.056
O 2.796 0.000 4.704
O 3.891 -1.398 1.056
```

Principal peaks in the range 2θ = 10–90°, by angle:
| d_spacing | I (rel.) |
| --- | --- |
| 5.968 | 36 |
| 3.028 | 19 |
| 2.984 | 38 |
| 2.881 | 100 |
| 2.551 | 70 |
| 2.450 | 32 |
| 1.790 | 23 |
| 1.746 | 22 |
| 1.529 | 23 |
| 1.513 | 17 |